Starting from a DFT-relaxed cell (GGA-PBE, Alexandria), the powder XRD pattern of PaNbPbO6 was computed for λ = 1.5418 Å (Cu Kα).
Neutral-atom scattering factors, no anomalous dispersion.

Crystal structure
Cell lengths 5.7096, 5.7096, 10.4199 Å; angles 90.00, 90.00, 120.00 degrees
Space group P-31c (No. 163)
One atom of each set of equivalent atoms:
Pa 0.3333 0.6667 0.2500 (multiplicity 2)
Nb 0.3333 0.6667 0.7500 (multiplicity 2)
Pb 0.0000 0.0000 0.0000 (multiplicity 2)
O 0.0202 0.3837 0.6450 (multiplicity 12)

Main lines, by angle (2θ = 10–80°):
d/Å  intensity
3.587  100
2.855  47
2.234  27
1.924  43
1.759  27
1.648  16



Starting from a DFT-relaxed cell (GGA-PBE, Alexandria), the powder XRD pattern of PaNbSeO4 was computed for λ = 1.5418 Å (Cu Kα).
Neutral-atom scattering factors, no anomalous dispersion.

Crystal structure
Cell lengths 10.618, 7.331, 6.963 Å; angles 90.00, 109.92, 90.00 degrees
Space group C2/m (No. 12)
One atom of each set of equivalent atoms:
Pa 0.220 0.000 0.137 (multiplicity 4)
Nb 0.126 0.500 0.245 (multiplicity 4)
Se 0.006 0.000 0.756 (multiplicity 4)
O 0.064 0.500 0.854 (multiplicity 4)
O 0.178 0.500 0.529 (multiplicity 4)
O 0.213 0.299 0.171 (multiplicity 8)

Main lines, by angle (2θ = 10–80°):
d/Å  intensity
6.546  60
3.665  100
3.443  42
3.146  97
2.675  43
2.001  39